No. 1
# SiC4N4O4
Theoretical powder diffraction line list, Cu Kα. Input: a crystal structure in the Materials Project, relaxed with GGA-PBE.
Neutral-atom scattering factors, no anomalous dispersion.

Unit cell a=11.469 b=7.669 c=11.117 alpha=90.00 beta=100.31 gamma=90.00
Fractional positions:
Si (0.241, 0.138, 0.394)
Si (0.241, 0.362, 0.894)
Si (0.759, 0.638, 0.106)
Si (0.759, 0.862, 0.606)
C (0.053, 0.150, 0.183)
C (0.053, 0.350, 0.683)
C (0.191, 0.577, 0.088)
C (0.191, 0.923, 0.588)
C (0.324, 0.018, 0.965)
C (0.324, 0.482, 0.465)
C (0.447, 0.524, 0.826)
C (0.447, 0.976, 0.326)
C (0.553, 0.024, 0.674)
C (0.553, 0.476, 0.174)
C (0.676, 0.518, 0.535)
C (0.676, 0.982, 0.035)
C (0.809, 0.077, 0.412)
C (0.809, 0.423, 0.912)
C (0.947, 0.650, 0.317)
C (0.947, 0.850, 0.817)
N (0.131, 0.143, 0.271)
N (0.131, 0.357, 0.771)
N (0.191, 0.028, 0.507)
N (0.191, 0.472, 0.007)
N (0.276, 0.158, 0.946)
N (0.276, 0.342, 0.446)
N (0.361, 0.044, 0.354)
N (0.361, 0.456, 0.854)
N (0.639, 0.544, 0.146)
N (0.639, 0.956, 0.646)
N (0.724, 0.658, 0.554)
N (0.724, 0.842, 0.054)
N (0.809, 0.528, 0.993)
N (0.809, 0.972, 0.493)
N (0.869, 0.643, 0.229)
N (0.869, 0.857, 0.729)
O (0.023, 0.658, 0.403)
O (0.023, 0.842, 0.903)
O (0.187, 0.676, 0.168)
O (0.187, 0.824, 0.668)
O (0.368, 0.620, 0.488)
O (0.368, 0.880, 0.988)
O (0.468, 0.091, 0.700)
O (0.468, 0.409, 0.200)
O (0.532, 0.591, 0.800)
O (0.532, 0.909, 0.300)
O (0.632, 0.120, 0.012)
O (0.632, 0.380, 0.512)
O (0.813, 0.176, 0.332)
O (0.813, 0.324, 0.832)
O (0.977, 0.158, 0.097)
O (0.977, 0.342, 0.597)

Peak list (10 most intense, 10 to 90 degrees two-theta, low angle first)
2theta, Rel. int.
13.96, 29
15.71, 25
23.58, 61
24.59, 100
25.40, 49
26.32, 77
26.95, 37
27.08, 32
27.26, 43
28.75, 38

***

No. 2
# CoSnN
Theoretical powder diffraction line list, Cu Kα. Input: a crystal structure in the Materials Project, relaxed with GGA-PBE.
Neutral-atom scattering factors, no anomalous dispersion.

Unit cell a=3.046 b=3.046 c=11.775 alpha=90.00 beta=90.00 gamma=119.90
Fractional positions:
Co (0.164, 0.836, 0.500)
Co (0.836, 0.164, 0.000)
Sn (0.499, 0.501, 0.803)
Sn (0.501, 0.499, 0.303)
N (0.170, 0.830, 0.043)
N (0.830, 0.170, 0.543)

Peak list (10 most intense, 10 to 90 degrees two-theta, low angle first)
2theta, Rel. int.
15.05, 31
30.36, 32
33.97, 19
37.34, 100
46.21, 39
58.62, 16
60.82, 13
69.46, 17
73.68, 17
79.70, 10

***

No. 3
# ZnCu2SnSeS3
Theoretical powder diffraction line list, Cu Kα. Input: a crystal structure in the Materials Project, relaxed with GGA-PBE.
Neutral-atom scattering factors, no anomalous dispersion.

Unit cell a=5.534 b=5.538 c=6.756 alpha=114.15 beta=114.01 gamma=90.03
Fractional positions:
Zn (0.000, 0.000, 0.000)
Cu (0.518, 0.482, 0.001)
Cu (0.741, 0.223, 0.484)
Sn (0.260, 0.742, 0.486)
Se (0.125, 0.598, 0.753)
S (0.391, 0.349, 0.233)
S (0.643, 0.134, 0.751)
S (0.859, 0.865, 0.232)

Peak list (10 most intense, 10 to 90 degrees two-theta, low angle first)
2theta, Rel. int.
27.95, 100
46.41, 43
46.52, 21
55.02, 25
55.13, 10
55.23, 7
67.70, 6
74.75, 6
86.03, 8
86.19, 8

***

No. 4
# CeMgGa
Theoretical powder diffraction line list, Cu Kα. Input: a crystal structure in the Materials Project, relaxed with GGA-PBE.
Neutral-atom scattering factors, no anomalous dispersion.

Unit cell a=7.435 b=7.435 c=4.529 alpha=90.00 beta=90.00 gamma=120.00
Fractional positions:
Ce (0.000, 0.422, 0.000)
Ce (0.422, 0.000, 0.000)
Ce (0.578, 0.578, 0.000)
Mg (0.000, 0.758, 0.500)
Mg (0.242, 0.242, 0.500)
Mg (0.758, 0.000, 0.500)
Ga (0.000, 0.000, 0.000)
Ga (0.333, 0.667, 0.500)
Ga (0.667, 0.333, 0.500)

Peak list (10 most intense, 10 to 90 degrees two-theta, low angle first)
2theta, Rel. int.
19.60, 21
23.94, 23
27.71, 29
31.13, 79
34.17, 100
36.93, 25
39.81, 26
42.13, 32
55.30, 27
66.58, 20